Computed X-ray diffraction stick pattern of LiNbVO4 for λ = 1.5418 Å (Cu Kα), from a structure optimized by DFT (PBE+U).
Kinematic intensities with the Lorentz-polarization factor, no thermal factor.

a b c (Å): 6.1583 6.1605 10.6364
angles (deg): 73.38 73.31 60.09
Space group P-1 (No. 2)
Symmetry-distinct sites (fractional):
Li (0.0566, 0.0589, 0.3090)
Li (0.4421, 0.4362, 0.1905)
Nb (0.0000, 0.0000, 0.0000)
Nb (0.2524, 0.2588, 0.7499)
Nb (0.5000, 0.5000, 0.5000)
V (0.0000, 0.5000, 0.0000)
V (0.0000, 0.5000, 0.5000)
V (0.5000, 0.0000, 0.0000)
V (0.5000, 0.0000, 0.5000)
O (0.0975, 0.6484, 0.1236)
O (0.1206, 0.1223, 0.1087)
O (0.1396, 0.6025, 0.6228)
O (0.1558, 0.1370, 0.6230)
O (0.3499, 0.9045, 0.8773)
O (0.3621, 0.3604, 0.8707)
O (0.3825, 0.3682, 0.3939)
O (0.3984, 0.8614, 0.3793)

Top 12 peaks for 2θ = 15–90°, by angle:
d = 5.028 Å, intensity 100, hkl 1 0 1; d = 2.627 Å, intensity 38, hkl 2 1 -1; d = 2.621 Å, intensity 14, hkl 1 2 3; d = 2.513 Å, intensity 17, hkl 2 0 2; d = 2.179 Å, intensity 34, hkl 2 0 -2; d = 2.172 Å, intensity 16, hkl 2 2 4; d = 1.999 Å, intensity 10, hkl 2 -1 1; d = 1.677 Å, intensity 12, hkl 3 0 -1; d = 1.673 Å, intensity 7, hkl 3 2 5; d = 1.541 Å, intensity 16, hkl 2 2 -4; d = 1.539 Å, intensity 10, hkl 2 0 6; d = 1.471 Å, intensity 7, hkl 4 3 3


Computed X-ray diffraction stick pattern of Li3NbV3O8 for λ = 1.5418 Å (Cu Kα), from a structure optimized by DFT (PBE+U).
Kinematic intensities with the Lorentz-polarization factor, no thermal factor.

a b c (Å): 10.5372 6.0825 6.1364
angles (deg): 90.00 125.26 90.00
Space group C2/m (No. 12)
Symmetry-distinct sites (fractional):
Li (0.0000, 0.0000, 0.0000)
Li (0.2500, 0.2500, 0.0000)
Nb (0.0000, 0.0000, 0.5000)
V (0.0000, 0.5000, 0.5000)
V (0.2500, 0.2500, 0.5000)
O (0.0093, 0.2356, 0.2765)
O (0.2349, 0.0000, 0.7284)
O (0.2484, 0.5000, 0.7218)

Top 12 peaks for 2θ = 15–90°, by angle:
d = 5.010 Å, intensity 100, hkl 0 0 1; d = 4.970 Å, intensity 14, hkl 1 1 0; d = 2.594 Å, intensity 43, hkl 2 2 -1; d = 2.483 Å, intensity 8, hkl 2 2 0; d = 2.160 Å, intensity 47, hkl 2 2 -2; d = 2.151 Å, intensity 23, hkl 4 0 0; d = 1.978 Å, intensity 10, hkl 2 2 1; d = 1.667 Å, intensity 10, hkl 2 2 -3; d = 1.534 Å, intensity 6, hkl 4 0 -4; d = 1.527 Å, intensity 13, hkl 2 2 2; d = 1.521 Å, intensity 20, hkl 0 4 0; d = 1.454 Å, intensity 11, hkl 6 2 -1